(1)
Structure and computed XRD peak list of Zr2SO3 (a structure optimized by DFT (PBE); Cu Kα, 1.54184 Å).
Peak positions follow from Bragg's law for the DFT cell and can differ from measured ones.

Crystal structure
```
data_Zr2SO3
_cell_length_a 3.859
_cell_length_b 3.859
_cell_length_c 5.524
_cell_angle_alpha 90.00
_cell_angle_beta 90.00
_cell_angle_gamma 90.00
_space_group_name_H-M_alt 'P -4 m 2'
_space_group_IT_number 115
loop_
_space_group_symop_operation_xyz
'x,y,z'
'y,-x,-z'
'-x,-y,z'
'-y,x,-z'
'-x,y,z'
'-y,-x,-z'
'x,-y,z'
'y,x,-z'
loop_
_atom_site_label
_atom_site_type_symbol
_atom_site_fract_x
_atom_site_fract_y
_atom_site_fract_z
_atom_site_occupancy
Zr1 Zr 0.000 0.500 0.219 1
S1 S 0.500 0.500 0.500 1
O1 O 0.000 0.000 0.000 1
O2 O 0.000 0.000 0.500 1
O3 O 0.500 0.500 0.000 1
```

Most intense lines, 2θ from 10° to 80°, in order of rising 2θ:
index  2θ (°)  d [Å]  intensity
1 0 1  28.21  3.164  100.0
1 1 0  32.82  2.729  10.3
1 0 2  40.15  2.246  5.9
1 1 2  46.80  1.941  44.4
2 0 0  47.10  1.930  24.3
1 0 3  55.28  1.662  10.5
2 1 1  55.80  1.647  28.1
2 2 0  68.80  1.364  7.1
2 1 3  75.50  1.259  8.1
3 0 1  75.95  1.253  5.5

(2)
Structure and computed XRD peak list of CeSe2 (a structure optimized by DFT (PBE); Cu Kα, 1.54184 Å).
Peak positions follow from Bragg's law for the DFT cell and can differ from measured ones.

Crystal structure
```
data_CeSe2
_cell_length_a 5.534
_cell_length_b 9.173
_cell_length_c 11.166
_cell_angle_alpha 109.39
_cell_angle_beta 90.30
_cell_angle_gamma 107.17
_space_group_name_H-M_alt 'P -1'
_space_group_IT_number 2
loop_
_space_group_symop_operation_xyz
'x,y,z'
'-x,-y,-z'
loop_
_atom_site_label
_atom_site_type_symbol
_atom_site_fract_x
_atom_site_fract_y
_atom_site_fract_z
_atom_site_occupancy
Ce1 Ce 0.004 0.491 0.250 1
Ce2 Ce 0.334 0.155 0.377 1
Ce3 Ce 0.337 0.187 0.891 1
Se1 Se 0.075 0.174 0.640 1
Se2 Se 0.165 0.841 0.726 1
Se3 Se 0.184 0.860 0.060 1
Se4 Se 0.255 0.500 0.500 1
Se5 Se 0.423 0.826 0.359 1
Se6 Se 0.477 0.442 0.146 1
```

Most intense lines, 2θ from 10° to 80°, in order of rising 2θ:
index  2θ (°)  d [Å]  intensity
0 2 -2  22.38  3.973  34.0
1 0 -2  22.57  3.939  34.9
1 -1 2  22.72  3.915  44.3
0 2 -3  27.16  3.283  42.1
0 1 3  31.16  2.870  42.5
0 1 -4  32.08  2.790  36.1
0 3 0  32.71  2.738  98.1
2 1 -2  39.56  2.278  53.2
2 -3 2  39.84  2.263  44.4
2 0 2  40.16  2.245  100.0

(3)
Structure and computed XRD peak list of Li2La2Ti3O10 (a structure optimized by DFT (PBE); Cu Kα, 1.54184 Å).
Peak positions follow from Bragg's law for the DFT cell and can differ from measured ones.

Crystal structure
```
data_Li2La2Ti3O10
_cell_length_a 3.877
_cell_length_b 3.877
_cell_length_c 26.758
_cell_angle_alpha 90.00
_cell_angle_beta 90.00
_cell_angle_gamma 90.00
_space_group_name_H-M_alt 'I 4/m m m'
_space_group_IT_number 139
_space_group_name_Hall '-I 4 2'
loop_
_atom_site_label
_atom_site_type_symbol
_atom_site_fract_x
_atom_site_fract_y
_atom_site_fract_z
_atom_site_occupancy
Li1 Li 0.000 0.500 0.250 1
La1 La 0.000 0.000 0.081 1
Ti1 Ti 0.000 0.000 0.342 1
Ti2 Ti 0.000 0.000 0.500 1
O1 O 0.000 0.000 0.275 1
O2 O 0.000 0.000 0.427 1
O3 O 0.000 0.500 0.000 1
O4 O 0.000 0.500 0.143 1
```

Most intense lines, 2θ from 10° to 80°, in order of rising 2θ:
index  2θ (°)  d [Å]  intensity
0 0 4  13.24  6.689  32.6
1 0 5  28.43  3.140  100.0
1 1 0  32.67  2.741  53.3
1 0 7  32.91  2.722  71.3
1 1 6  38.55  2.335  29.9
0 0 12  40.45  2.230  19.5
2 0 0  46.87  1.938  45.6
1 1 12  52.93  1.730  31.8
2 1 5  55.73  1.649  29.0
2 1 7  58.45  1.579  28.1

(4)
Structure and computed XRD peak list of RbPdBr3 (a structure optimized by DFT (PBE); Cu Kα, 1.54184 Å).
Peak positions follow from Bragg's law for the DFT cell and can differ from measured ones.

Crystal structure
```
data_RbPdBr3
_cell_length_a 5.289
_cell_length_b 5.292
_cell_length_c 5.296
_cell_angle_alpha 89.99
_cell_angle_beta 89.98
_cell_angle_gamma 89.96
_space_group_name_H-M_alt 'P 1'
_space_group_IT_number 1
loop_
_space_group_symop_operation_xyz
'x,y,z'
loop_
_atom_site_label
_atom_site_type_symbol
_atom_site_fract_x
_atom_site_fract_y
_atom_site_fract_z
_atom_site_occupancy
Rb1 Rb 0.000 0.000 0.000 1
Pd1 Pd 0.491 0.505 0.499 1
Br1 Br 0.494 0.505 0.999 1
Br2 Br 0.495 0.005 0.498 1
Br3 Br 0.992 0.500 0.501 1
```

Most intense lines, 2θ from 10° to 80°, in order of rising 2θ:
index  2θ (°)  d [Å]  intensity
1 0 0  16.75  5.293  32.8
1 1 0  23.78  3.742  32.9
1 1 1  29.23  3.056  51.5
2 0 0  33.87  2.646  100.0
2 -1 0  38.02  2.367  16.3
1 2 -1  41.81  2.161  14.5
2 2 0  48.66  1.871  70.1
1 -2 2  51.82  1.764  8.3
3 1 1  57.78  1.596  21.3
2 2 2  60.61  1.528  23.9

(5)
Structure and computed XRD peak list of TeN2 (a structure optimized by DFT (PBE); Cu Kα, 1.54184 Å).
Peak positions follow from Bragg's law for the DFT cell and can differ from measured ones.

Crystal structure
```
data_TeN2
_cell_length_a 10.902
_cell_length_b 4.038
_cell_length_c 4.037
_cell_angle_alpha 90.00
_cell_angle_beta 111.44
_cell_angle_gamma 90.00
_space_group_name_H-M_alt 'C 1 2/m 1'
_space_group_IT_number 12
loop_
_space_group_symop_operation_xyz
'x,y,z'
'-x,-y,-z'
'-x,y,-z'
'x,-y,z'
'x+1/2,y+1/2,z'
'-x+1/2,-y+1/2,-z'
'-x+1/2,y+1/2,-z'
'x+1/2,-y+1/2,z'
loop_
_atom_site_label
_atom_site_type_symbol
_atom_site_fract_x
_atom_site_fract_y
_atom_site_fract_z
_atom_site_occupancy
Te1 Te 0.125 0.000 0.374 1
N1 N 0.076 0.000 0.825 1
N2 N 0.174 0.500 0.410 1
```

Most intense lines, 2θ from 10° to 80°, in order of rising 2θ:
index  2θ (°)  d [Å]  intensity
2 0 -1  23.72  3.751  100.0
2 0 1  34.56  2.595  16.9
4 0 0  35.38  2.537  17.6
1 1 1  36.04  2.492  19.4
3 1 -1  36.16  2.484  19.7
0 2 0  44.90  2.019  22.3
5 1 0  50.32  1.813  7.7
2 2 -1  51.40  1.778  23.3
4 2 0  58.41  1.580  7.9
2 2 -2  65.38  1.427  6.8

(6)
Structure and computed XRD peak list of SrMg14SiO16 (a structure optimized by DFT (PBE); Cu Kα, 1.54184 Å).
Peak positions follow from Bragg's law for the DFT cell and can differ from measured ones.

Crystal structure
```
data_SrMg14SiO16
_cell_length_a 8.699
_cell_length_b 8.699
_cell_length_c 4.420
_cell_angle_alpha 90.00
_cell_angle_beta 90.00
_cell_angle_gamma 90.00
_space_group_name_H-M_alt 'P 4/m m m'
_space_group_IT_number 123
_space_group_name_Hall '-P 4 2'
loop_
_atom_site_label
_atom_site_type_symbol
_atom_site_fract_x
_atom_site_fract_y
_atom_site_fract_z
_atom_site_occupancy
Sr1 Sr 0.000 0.000 0.000 1
Mg1 Mg 0.000 0.259 0.500 1
Mg2 Mg 0.000 0.500 0.000 1
Mg3 Mg 0.248 0.500 0.500 1
Mg4 Mg 0.254 0.254 0.000 1
Si1 Si 0.500 0.500 0.000 1
O1 O 0.000 0.000 0.500 1
O2 O 0.000 0.270 0.000 1
O3 O 0.000 0.500 0.500 1
O4 O 0.243 0.500 0.000 1
O5 O 0.250 0.250 0.500 1
O6 O 0.500 0.500 0.500 1
```

Most intense lines, 2θ from 10° to 80°, in order of rising 2θ:
index  2θ (°)  d [Å]  intensity
1 0 0  10.17  8.699  13.3
2 1 0  22.86  3.890  6.0
2 1 1  30.61  2.920  6.8
2 2 1  35.56  2.524  26.9
0 0 2  40.83  2.210  53.7
4 0 0  41.53  2.175  100.0
4 0 2  59.65  1.550  59.6
4 4 0  60.18  1.538  28.4
6 2 1  71.89  1.313  11.4
4 4 2  75.29  1.262  26.6

(7)
Structure and computed XRD peak list of HfMg14Ga (a structure optimized by DFT (PBE); Cu Kα, 1.54184 Å).
Peak positions follow from Bragg's law for the DFT cell and can differ from measured ones.

Crystal structure
```
data_HfMg14Ga
_cell_length_a 10.233
_cell_length_b 6.206
_cell_length_c 11.092
_cell_angle_alpha 90.00
_cell_angle_beta 90.00
_cell_angle_gamma 90.00
_space_group_name_H-M_alt 'A m m 2'
_space_group_IT_number 38
loop_
_space_group_symop_operation_xyz
'x,y,z'
'-x,-y,z'
'-x,y,z'
'x,-y,z'
'x,y+1/2,z+1/2'
'-x,-y+1/2,z+1/2'
'-x,y+1/2,z+1/2'
'x,-y+1/2,z+1/2'
loop_
_atom_site_label
_atom_site_type_symbol
_atom_site_fract_x
_atom_site_fract_y
_atom_site_fract_z
_atom_site_occupancy
Hf1 Hf 0.000 0.000 0.000 1
Mg1 Mg 0.000 0.248 0.249 1
Mg2 Mg 0.246 0.000 0.663 1
Mg3 Mg 0.247 0.249 0.915 1
Mg4 Mg 0.250 0.000 0.162 1
Mg5 Mg 0.500 0.000 0.498 1
Mg6 Mg 0.500 0.000 0.997 1
Mg7 Mg 0.500 0.249 0.748 1
Ga1 Ga 0.000 0.000 0.496 1
```

Most intense lines, 2θ from 10° to 80°, in order of rising 2θ:
index  2θ (°)  d [Å]  intensity
0 0 2  15.98  5.546  28.2
2 0 0  17.33  5.117  22.9
1 0 2  18.19  4.876  41.2
1 1 1  18.54  4.787  20.8
2 0 2  23.66  3.761  21.7
0 2 2  33.08  2.708  31.2
4 0 0  35.08  2.558  39.4
2 0 4  36.87  2.438  54.4
2 2 2  37.58  2.393  100.0
4 2 2  48.98  1.860  20.4

(8)
Structure and computed XRD peak list of SnP3O9 (a structure optimized by DFT (PBE); Cu Kα, 1.54184 Å).
Peak positions follow from Bragg's law for the DFT cell and can differ from measured ones.

Crystal structure
```
data_SnP3O9
_cell_length_a 6.8032
_cell_length_b 6.8032
_cell_length_c 10.5720
_cell_angle_alpha 90.00
_cell_angle_beta 90.00
_cell_angle_gamma 120.00
_space_group_name_H-M_alt 'P 3 1 2'
_space_group_IT_number 149
loop_
_space_group_symop_operation_xyz
'x,y,z'
'-y,x-y,z'
'-x+y,-x,z'
'-y,-x,-z'
'-x+y,y,-z'
'x,x-y,-z'
loop_
_atom_site_label
_atom_site_type_symbol
_atom_site_fract_x
_atom_site_fract_y
_atom_site_fract_z
_atom_site_occupancy
Sn1 Sn 0.0000 0.0000 0.0000 1
Sn2 Sn 0.0000 0.0000 0.5000 1
P1 P 0.3925 0.1121 0.2266 1
O1 O 0.0033 0.2549 0.1085 1
O2 O 0.2867 0.0214 0.3515 1
O3 O 0.4787 0.0994 0.7888 1
```

Most intense lines, 2θ from 10° to 80°, in order of rising 2θ:
index  2θ (°)  d [Å]  intensity
1 0 0  15.04  5.892  100.0
1 0 2  22.60  3.935  90.8
1 1 1  27.55  3.238  18.7
2 0 0  30.34  2.946  12.0
2 -1 2  31.27  2.861  45.2
2 0 2  34.87  2.573  22.4
2 1 0  40.51  2.227  14.8
3 -1 2  44.13  2.052  13.9
3 0 0  46.17  1.966  22.5
3 -1 4  53.84  1.703  23.0